Structure and simulated powder diffraction line list of ErGe4Pd5 (the PBE geometry in Alexandria; Cu Kα X-rays).
Kinematic intensities with the Lorentz-polarization factor, no thermal factor.

Atomic structure:
Cell lengths 7.5679, 8.4642, 5.5137 Å; angles 90.00, 90.00, 90.00 degrees
Positions (direct):
1 Er 0.2500 0.2500 0.0187
2 Er 0.7500 0.7500 0.9813
3 Ge 0.0816 0.2500 0.5181
4 Ge 0.2500 0.6037 0.0854
5 Ge 0.2500 0.8963 0.0854
6 Ge 0.4184 0.2500 0.5181
7 Ge 0.5816 0.7500 0.4819
8 Ge 0.7500 0.1037 0.9146
9 Ge 0.7500 0.3963 0.9146
10 Ge 0.9184 0.7500 0.4819
11 Pd 0.0360 0.5152 0.7496
12 Pd 0.0360 0.9848 0.7496
13 Pd 0.2500 0.7500 0.5206
14 Pd 0.4640 0.5152 0.7496
15 Pd 0.4640 0.9848 0.7496
16 Pd 0.5360 0.0152 0.2504
17 Pd 0.5360 0.4848 0.2504
18 Pd 0.7500 0.2500 0.4794
19 Pd 0.9640 0.0152 0.2504
20 Pd 0.9640 0.4848 0.2504

Largest 8 diffraction maxima, by intensity, 2θ from 10° to 90°:
Position (°2θ)  I_rel  h k l
39.0  100  0 2 2
31.7  76  2 2 0
40.5  57  2 0 2
51.3  39  3 3 1
37.7  33  1 3 1
40.8  32  3 1 1
42.7  28  0 4 0
63.6  25  4 2 2